For Ca4Mg3Si8NiO24, a DFT-relaxed cell (GGA+U, Alexandria) gives the theoretical powder X-ray diffraction pattern in this record (Cu Kα X-rays).
Intensities are scaled so that the largest is 100.

Largest 10 diffraction maxima, in order of rising 2θ, 15 to 90 degrees two-theta:
2θ = 27.30°, d = 3.267 Å, rel. 20; 2θ = 29.48°, d = 3.030 Å, rel. 100; 2θ = 29.94°, d = 2.984 Å, rel. 31; 2θ = 30.44°, d = 2.936 Å, rel. 27; 2θ = 34.59°, d = 2.593 Å, rel. 29; 2θ = 35.15°, d = 2.553 Å, rel. 42; 2θ = 35.35°, d = 2.539 Å, rel. 41; 2θ = 41.83°, d = 2.159 Å, rel. 22; 2θ = 55.87°, d = 1.646 Å, rel. 35; 2θ = 64.91°, d = 1.436 Å, rel. 20

Atomic structure:
Cell lengths 5.3189, 9.0123, 9.8257 Å; angles 90.00, 105.06, 90.00 degrees
Space group P2 (No. 3)
Unique sites:
Ca 0.0000 0.0000 0.0000 x1
Ca 0.0000 0.0968 0.5000 x1
Ca 0.5000 0.4981 0.5000 x1
Ca 0.5000 0.5968 0.0000 x1
Mg 0.0000 0.3892 0.0000 x1
Mg 0.0000 0.7051 0.5000 x1
Mg 0.5000 0.8898 0.5000 x1
Si 0.1951 0.7044 0.2137 x2
Si 0.1957 0.3901 0.7136 x2
Si 0.3052 0.2037 0.2864 x2
Si 0.3053 0.8910 0.7863 x2
Ni 0.5000 0.2057 0.0000 x1
O 0.1004 0.3133 0.3497 x2
O 0.1005 0.7820 0.8499 x2
O 0.2070 0.5483 0.1373 x2
O 0.2077 0.5465 0.6376 x2
O 0.2224 0.2099 0.1155 x2
O 0.2230 0.8855 0.6157 x2
O 0.2771 0.7097 0.3844 x2
O 0.2776 0.3854 0.8846 x2
O 0.2907 0.0479 0.8619 x2
O 0.2919 0.0476 0.3624 x2
O 0.3993 0.2807 0.6497 x2
O 0.3994 0.8140 0.1498 x2